(1)
Computed X-ray powder pattern
Compound: Dy11Ho4Tm9
Radiation: CuKα
Structure: a cell relaxed with GGA-PBE
No peak broadening, texture or thermal motion is included.

```
data_Dy11Ho4Tm9
_cell_length_a 20.2993
_cell_length_b 20.8516
_cell_length_c 3.4929
_cell_angle_alpha 90.00
_cell_angle_beta 90.00
_cell_angle_gamma 90.00
_symmetry_space_group_name_H-M 'C m m m'
_symmetry_Int_Tables_number 65
_symmetry_space_group_name_Hall '-C 2 2'
loop_
_atom_site_label
_atom_site_type_symbol
_atom_site_fract_x
_atom_site_fract_y
_atom_site_fract_z
_atom_site_occupancy
Dy1 Dy 0.0000 0.0000 0.0000 1
Dy2 Dy 0.0000 0.1706 0.0000 1
Dy3 Dy 0.0000 0.3443 0.0000 1
Dy4 Dy 0.2409 0.0000 0.0000 1
Dy5 Dy 0.2467 0.1680 0.0000 1
Ho1 Ho 0.1370 0.4158 0.5000 1
Tm1 Tm 0.0000 0.5000 0.5000 1
Tm2 Tm 0.1208 0.0853 0.5000 1
Tm3 Tm 0.1234 0.2538 0.5000 1
```

Peak list (6 most intense, 10 to 80 degrees two-theta, by angle)
2θ/deg, I_rel
31.08, 87
31.19, 100
35.37, 34
36.47, 56
51.72, 38
62.24, 28

***

(2)
Computed X-ray powder pattern
Compound: TbErCoPt
Radiation: CuKα
Structure: a cell relaxed with GGA-PBE
No peak broadening, texture or thermal motion is included.

```
data_TbErCoPt
_cell_length_a 6.8387
_cell_length_b 6.8387
_cell_length_c 6.8387
_cell_angle_alpha 90.00
_cell_angle_beta 90.00
_cell_angle_gamma 90.00
_symmetry_space_group_name_H-M 'F -4 3 m'
_symmetry_Int_Tables_number 216
_symmetry_space_group_name_Hall 'F -4 2 3'
loop_
_atom_site_label
_atom_site_type_symbol
_atom_site_fract_x
_atom_site_fract_y
_atom_site_fract_z
_atom_site_occupancy
Tb1 Tb 0.0000 0.0000 0.0000 1
Er1 Er 0.0000 0.0000 0.5000 1
Co1 Co 0.2500 0.2500 0.7500 1
Pt1 Pt 0.2500 0.2500 0.2500 1
```

Peak list (6 most intense, 10 to 80 degrees two-theta, by angle)
2θ/deg, I_rel
22.52, 12
37.19, 100
43.91, 7
53.60, 17
67.04, 36
79.24, 11

***

(3)
Computed X-ray powder pattern
Compound: KTaTe2
Radiation: CuKα
Structure: a cell relaxed with GGA-PBE
No peak broadening, texture or thermal motion is included.

```
data_KTaTe2
_cell_length_a 8.6174
_cell_length_b 3.7512
_cell_length_c 8.2959
_cell_angle_alpha 90.00
_cell_angle_beta 105.47
_cell_angle_gamma 90.00
_symmetry_space_group_name_H-M 'C 1 m 1'
_symmetry_Int_Tables_number 8
loop_
_symmetry_equiv_pos_as_xyz
'x,y,z'
'x,-y,z'
'x+1/2,y+1/2,z'
'x+1/2,-y+1/2,z'
loop_
_atom_site_label
_atom_site_type_symbol
_atom_site_fract_x
_atom_site_fract_y
_atom_site_fract_z
_atom_site_occupancy
K1 K 0.0000 0.0000 0.0000 1
Ta1 Ta 0.2084 0.5000 0.4572 1
Te1 Te 0.2181 0.0000 0.7034 1
Te2 Te 0.3824 0.0000 0.3210 1
```

Peak list (6 most intense, 10 to 80 degrees two-theta, by angle)
2θ/deg, I_rel
11.07, 100
21.37, 33
26.70, 35
27.22, 24
32.54, 61
41.96, 25

***

(4)
Computed X-ray powder pattern
Compound: BeTlPO4
Radiation: CuKα
Structure: a cell relaxed with GGA-PBE
No peak broadening, texture or thermal motion is included.

```
data_BeTlPO4
_cell_length_a 9.4995
_cell_length_b 8.1935
_cell_length_c 4.9220
_cell_angle_alpha 90.00
_cell_angle_beta 90.00
_cell_angle_gamma 90.00
_symmetry_space_group_name_H-M 'P n a 21'
_symmetry_Int_Tables_number 33
loop_
_symmetry_equiv_pos_as_xyz
'x,y,z'
'-x,-y,z+1/2'
'-x+1/2,y+1/2,z+1/2'
'x+1/2,-y+1/2,z'
loop_
_atom_site_label
_atom_site_type_symbol
_atom_site_fract_x
_atom_site_fract_y
_atom_site_fract_z
_atom_site_occupancy
Be1 Be 0.1476 0.1134 0.0000 1
Tl1 Tl 0.0388 0.3434 0.5061 1
P1 P 0.1692 0.9170 0.5005 1
O1 O 0.0202 0.8427 0.5343 1
O2 O 0.1861 0.0702 0.6845 1
O3 O 0.1958 0.9661 0.2008 1
O4 O 0.2210 0.2879 0.0852 1
```

Peak list (6 most intense, 10 to 80 degrees two-theta, by angle)
2θ/deg, I_rel
14.28, 29
18.68, 30
21.06, 38
28.29, 63
29.89, 100
34.16, 27

***

Repeat the first record exactly.
Computed X-ray powder pattern
Compound: Dy11Ho4Tm9
Radiation: CuKα
Structure: a cell relaxed with GGA-PBE
No peak broadening, texture or thermal motion is included.

```
data_Dy11Ho4Tm9
_cell_length_a 20.2993
_cell_length_b 20.8516
_cell_length_c 3.4929
_cell_angle_alpha 90.00
_cell_angle_beta 90.00
_cell_angle_gamma 90.00
_symmetry_space_group_name_H-M 'C m m m'
_symmetry_Int_Tables_number 65
_symmetry_space_group_name_Hall '-C 2 2'
loop_
_atom_site_label
_atom_site_type_symbol
_atom_site_fract_x
_atom_site_fract_y
_atom_site_fract_z
_atom_site_occupancy
Dy1 Dy 0.0000 0.0000 0.0000 1
Dy2 Dy 0.0000 0.1706 0.0000 1
Dy3 Dy 0.0000 0.3443 0.0000 1
Dy4 Dy 0.2409 0.0000 0.0000 1
Dy5 Dy 0.2467 0.1680 0.0000 1
Ho1 Ho 0.1370 0.4158 0.5000 1
Tm1 Tm 0.0000 0.5000 0.5000 1
Tm2 Tm 0.1208 0.0853 0.5000 1
Tm3 Tm 0.1234 0.2538 0.5000 1
```

Peak list (6 most intense, 10 to 80 degrees two-theta, by angle)
2θ/deg, I_rel
31.08, 87
31.19, 100
35.37, 34
36.47, 56
51.72, 38
62.24, 28